Structure and simulated powder diffractogram of Ca6Mg5Zn (a DFT-relaxed cell (GGA-PBE, Alexandria); λ = 1.5418 Å (Cu Kα)).
Peak positions follow from Bragg's law for the DFT cell and can differ from measured ones.

abc: 8.736 8.736 7.841
angles: 90.00 90.00 143.00
Fractional coordinates of all 12 atoms:
Ca (0.000, 0.000, 0.237)
Ca (0.000, 0.000, 0.763)
Ca (0.340, 0.660, 0.244)
Ca (0.340, 0.660, 0.756)
Ca (0.660, 0.340, 0.244)
Ca (0.660, 0.340, 0.756)
Mg (0.169, 0.831, 0.500)
Mg (0.174, 0.826, 0.000)
Mg (0.500, 0.500, 0.500)
Mg (0.826, 0.174, 0.000)
Mg (0.831, 0.169, 0.500)
Zn (0.500, 0.500, 0.000)

Peak list (8 most intense, 5° ≤ 2θ ≤ 70°, in order of falling intensity)
two_theta, I_rel
32.32, 1000
57.62, 268
46.38, 201
32.42, 194
57.77, 126
67.65, 97
11.29, 40
10.68, 35